No. 1
The following is a simulated PXRD pattern of CsSmGd2. It was derived from the GGA-PBE geometry in Alexandria, using Cu Ka.

Lattice parameters (Å, degrees): 13.378 13.378 13.378 15.82 15.82 15.82
Fractional coordinates of all 4 atoms:
Cs 0.000 0.000 0.000
Sm 0.500 0.500 0.500
Gd 0.095 0.095 0.095
Gd 0.905 0.905 0.905

The 10 most intense peaks (10° ≤ 2θ ≤ 90°), by angle:
2θ/deg  I_rel
27.0  50
28.1  33
28.3  90
30.2  52
33.4  34
36.2  100
49.5  43
54.5  26
57.3  36
58.9  22

No. 2
The following is a simulated PXRD pattern of Na12CdIn2. It was derived from the GGA-PBE geometry in Alexandria, using Cu Ka.

Lattice parameters (Å, degrees): 6.677 6.677 24.104 90.00 90.00 90.00
Fractional coordinates of all 30 atoms:
Na 0.000 0.000 0.090
Na 0.000 0.000 0.910
Na 0.000 0.500 0.090
Na 0.000 0.500 0.910
Na 0.070 0.570 0.433
Na 0.070 0.930 0.567
Na 0.250 0.250 0.193
Na 0.250 0.250 0.319
Na 0.250 0.250 0.681
Na 0.250 0.250 0.807
Na 0.430 0.570 0.567
Na 0.430 0.930 0.433
Na 0.500 0.000 0.090
Na 0.500 0.000 0.910
Na 0.500 0.500 0.090
Na 0.500 0.500 0.910
Na 0.570 0.070 0.567
Na 0.570 0.430 0.433
Na 0.750 0.750 0.193
Na 0.750 0.750 0.319
Na 0.750 0.750 0.681
Na 0.750 0.750 0.807
Na 0.930 0.070 0.433
Na 0.930 0.430 0.567
Cd 0.250 0.750 0.000
Cd 0.750 0.250 0.000
In 0.250 0.750 0.206
In 0.250 0.750 0.794
In 0.750 0.250 0.206
In 0.750 0.250 0.794

The 10 most intense peaks (10° ≤ 2θ ≤ 90°), by angle:
2θ/deg  I_rel
18.4  47
18.8  68
19.2  50
23.9  52
26.4  100
27.7  42
30.6  48
32.6  83
34.9  49
38.1  54

No. 3
The following is a simulated PXRD pattern of AcHo2ScS6. It was derived from the GGA-PBE geometry in Alexandria, using Cu Ka.

Lattice parameters (Å, degrees): 7.336 7.336 7.336 56.56 56.56 56.56
Fractional coordinates of all 10 atoms:
Ac 0.000 0.000 0.000
Ho 0.279 0.279 0.279
Ho 0.791 0.791 0.791
Sc 0.479 0.479 0.479
S 0.081 0.640 0.431
S 0.203 0.572 0.869
S 0.431 0.081 0.640
S 0.572 0.869 0.203
S 0.640 0.431 0.081
S 0.869 0.203 0.572

The 10 most intense peaks (10° ≤ 2θ ≤ 90°), by angle:
2θ/deg  I_rel
15.5  31
17.6  30
24.3  100
25.6  90
29.5  26
35.6  50
39.1  53
44.4  48
45.2  43
58.8  25